# 1
For FeI4, a structure optimized by DFT (GGA-PBE) gives the computed powder XRD pattern in this record (Cu Kα (weighted mean of Kα1 and Kα2)).

The 8 most intense peaks (2θ = 15–90°), low angle first:
hkl  two_theta  I/Imax
2 0 0  27.34  46.1
1 2 -1  27.82  87.5
0 0 2  27.95  40.7
1 2 1  31.81  100.0
2 0 -2  32.78  42.2
2 0 2  45.37  16.1
0 4 0  45.90  48.0
1 2 -3  46.72  26.8

```
FeI4
1.0
6.845 0.000 0.000
0.000 7.919 0.000
-2.028 0.000 6.384
Fe I
2 8
Cartesian
-0.507 1.075 1.596 Fe
-1.521 6.844 4.788 Fe
-0.518 0.874 6.346 I
0.496 7.045 3.154 I
0.791 2.843 2.932 I
-0.223 5.076 6.124 I
5.041 2.843 0.260 I
4.027 5.076 3.452 I
4.322 0.874 3.230 I
5.336 7.045 0.038 I
```

# 2
For TbYCF2, a structure optimized by DFT (GGA-PBE) gives the computed powder XRD pattern in this record (Cu Kα (weighted mean of Kα1 and Kα2)).

The 8 most intense peaks (2θ = 15–90°), low angle first:
hkl  two_theta  I/Imax
0 0 2  28.10  27.1
1 0 0  28.31  39.2
0 1 1  31.69  100.0
0 1 2  40.31  48.5
1 1 0  50.12  32.7
1 0 3  52.03  30.5
1 1 2  58.44  21.4
0 2 1  60.52  16.3

```
TbYCF2
1.0
3.640 0.000 0.000
-1.820 3.153 0.000
0.000 0.000 6.352
Tb Y C F
1 1 1 2
Cartesian
0.000 0.000 0.000 Tb
1.820 1.051 2.705 Y
0.000 2.102 1.356 C
0.000 0.000 3.806 F
1.820 1.051 5.246 F
```

# 3
For HoTmPbC, a structure optimized by DFT (GGA-PBE) gives the computed powder XRD pattern in this record (Cu Kα (weighted mean of Kα1 and Kα2)).

The 8 most intense peaks (2θ = 15–90°), low angle first:
hkl  two_theta  I/Imax
1 0 0  28.64  22.6
1 0 3  33.33  100.0
0 0 6  33.76  20.6
0 1 6  44.84  15.8
1 1 0  50.72  21.4
1 0 9  60.11  18.7
0 2 3  62.06  17.1
1 1 6  62.32  21.8

```
HoTmPbC
1.0
3.600 0.000 0.000
-1.800 3.117 0.000
0.000 0.000 15.931
Ho Tm Pb C
2 2 2 2
Cartesian
0.000 2.078 1.320 Ho
1.800 1.039 14.611 Ho
0.000 2.078 6.667 Tm
1.800 1.039 9.264 Tm
0.000 2.078 11.927 Pb
1.800 1.039 4.004 Pb
0.000 0.000 0.000 C
0.000 0.000 7.966 C
```